[1]
KTc2Rh: theoretical powder diffractogram (Cu Kα X-rays), based on a DFT-relaxed cell (PBE, Alexandria).
Neutral-atom scattering factors, no anomalous dispersion.

Crystal structure
```
KTc2Rh
1.0
2.8214 0.0000 0.0000
-1.4107 2.4434 0.0000
0.0000 0.0000 30.2462
K Tc Rh
3 6 3
Cartesian
0.0000 0.0000 0.0000
0.0000 1.6289 20.1641
1.4107 0.8145 10.0821
0.0000 0.0000 7.0318
0.0000 0.0000 15.0522
0.0000 1.6289 4.9701
0.0000 1.6289 27.1959
1.4107 0.8145 17.1138
1.4107 0.8145 25.1342
0.0000 0.0000 22.9734
0.0000 1.6289 12.8913
1.4107 0.8145 2.8093
```

Peak list (12 most intense, 2θ = 15–90°, by angle)
two_theta, d_spacing, I_rel
35.62, 2.521, 23
38.73, 2.325, 100
42.50, 2.127, 21
44.13, 2.052, 55
44.96, 2.016, 13
49.93, 1.826, 22
66.25, 1.411, 21
70.62, 1.334, 11
77.55, 1.231, 13
79.47, 1.206, 11
83.08, 1.163, 8
83.66, 1.156, 13

***

[2]
KTi2Rh: theoretical powder diffractogram (Cu Kα X-rays), based on a DFT-relaxed cell (PBE, Alexandria).
Neutral-atom scattering factors, no anomalous dispersion.

Crystal structure
```
KTi2Rh
1.0
5.2843 0.0000 0.0000
0.0000 5.2843 0.0000
0.0000 0.0000 16.6565
K Ti Rh
4 8 4
Cartesian
0.0000 1.3211 6.2462
0.0000 3.9632 10.4103
2.6421 1.3211 2.0821
2.6421 3.9632 14.5744
0.0000 0.0000 0.0000
0.0000 2.6421 0.0000
1.3211 1.3211 12.4924
1.3211 3.9632 4.1641
2.6421 0.0000 8.3282
2.6421 2.6421 8.3282
3.9632 1.3211 12.4924
3.9632 3.9632 4.1641
0.0000 1.3211 14.5744
0.0000 3.9632 2.0821
2.6421 1.3211 10.4103
2.6421 3.9632 6.2462
```

Peak list (12 most intense, 2θ = 15–90°, by angle)
two_theta, d_spacing, I_rel
17.61, 5.037, 100
26.14, 3.409, 94
33.93, 2.642, 23
35.65, 2.518, 17
40.46, 2.230, 56
41.56, 2.173, 32
43.46, 2.082, 15
47.15, 1.927, 15
53.78, 1.705, 31
56.14, 1.638, 20
56.25, 1.635, 10
65.16, 1.432, 13

***

[3]
KTlRh2: theoretical powder diffractogram (Cu Kα X-rays), based on a DFT-relaxed cell (PBE, Alexandria).
Neutral-atom scattering factors, no anomalous dispersion.

Crystal structure
```
KTlRh2
1.0
2.9400 0.0000 0.0000
0.0000 4.1972 0.0000
-1.4111 0.0000 7.7249
K Tl Rh
1 1 2
Cartesian
0.0000 0.0000 0.0000
0.0606 2.0986 5.0465
0.0770 0.0000 3.1051
1.5419 2.0986 2.5073
```

Peak list (12 most intense, 2θ = 15–90°, by angle)
two_theta, d_spacing, I_rel
21.17, 4.197, 38
24.13, 3.688, 70
30.96, 2.888, 50
31.48, 2.842, 100
34.84, 2.575, 62
37.82, 2.379, 71
41.13, 2.195, 47
41.29, 2.187, 69
41.50, 2.176, 69
43.10, 2.099, 51
47.74, 1.905, 41
48.05, 1.894, 36

***

[4]
K2Tl9Rh3: theoretical powder diffractogram (Cu Kα X-rays), based on a DFT-relaxed cell (PBE, Alexandria).
Neutral-atom scattering factors, no anomalous dispersion.

Crystal structure
```
K2Tl9Rh3
1.0
7.5634 -4.2977 0.0000
7.5634 4.2977 0.0000
-5.1949 0.0000 10.9279
K Tl Rh
4 18 6
Cartesian
1.3004 0.7213 2.7121
-1.2971 -0.7213 8.1760
11.2289 0.7213 2.7518
8.6314 -0.7213 8.2157
6.2724 3.7353 0.8554
6.2569 3.7353 4.6085
4.4491 1.7463 2.7495
1.1190 0.7618 6.2712
1.0610 0.7856 10.4155
3.6672 1.4167 8.1959
3.7165 -0.7618 0.8073
8.0801 1.7463 2.7145
3.6585 -0.7856 4.9516
6.2734 0.7856 5.9763
1.8517 -1.7463 8.2134
6.2154 0.7618 10.1206
6.2646 -1.4167 2.7320
8.8708 -0.7856 0.5123
8.8128 -0.7618 4.6566
5.4827 -1.7463 8.1784
3.6750 -3.7353 6.3194
3.6594 -3.7353 10.0724
3.7817 2.1488 0.0000
3.7081 2.1070 5.4528
8.8211 2.1070 0.0111
1.1842 -2.1488 5.4639
1.1107 -2.1070 10.9167
6.2237 -2.1070 5.4750
```

Peak list (12 most intense, 2θ = 15–90°, by angle)
two_theta, d_spacing, I_rel
16.22, 5.464, 20
26.37, 3.380, 28
31.88, 2.807, 81
32.23, 2.777, 100
32.78, 2.732, 16
35.61, 2.521, 47
36.06, 2.491, 92
38.71, 2.326, 24
39.12, 2.303, 38
39.63, 2.274, 27
39.88, 2.261, 18
62.44, 1.487, 18

***

[5]
K2RhW: theoretical powder diffractogram (Cu Kα X-rays), based on a DFT-relaxed cell (PBE, Alexandria).
Neutral-atom scattering factors, no anomalous dispersion.

Crystal structure
```
K2RhW
1.0
2.9364 0.0000 0.0000
0.0000 3.9984 0.0000
0.0000 0.0000 10.3934
K Rh W
2 1 1
Cartesian
0.0000 0.0000 0.0000
1.4682 1.9992 4.3816
0.0000 0.0000 6.9732
1.4682 1.9992 7.7101
```

Peak list (12 most intense, 2θ = 15–90°, by angle)
two_theta, d_spacing, I_rel
17.06, 5.197, 94
25.71, 3.464, 85
28.16, 3.169, 51
34.25, 2.618, 59
38.02, 2.367, 100
39.03, 2.308, 94
40.26, 2.240, 37
41.95, 2.154, 42
45.36, 1.999, 30
46.47, 1.954, 67
52.28, 1.750, 32
62.23, 1.492, 42

***

[6]
K2Ru: theoretical powder diffractogram (Cu Kα X-rays), based on a DFT-relaxed cell (PBE, Alexandria).
Neutral-atom scattering factors, no anomalous dispersion.

Crystal structure
```
K2Ru
1.0
3.4717 0.0000 0.0000
0.0000 36.1903 0.0000
0.0000 0.0000 3.6753
K Ru
8 4
Cartesian
0.0000 2.0039 0.9188
0.0000 11.9345 0.9188
0.0000 24.2558 2.7565
0.0000 34.1864 2.7565
1.7358 6.1607 2.7565
1.7358 16.0912 2.7565
1.7358 20.0991 0.9188
1.7358 30.0296 0.9188
0.0000 9.0904 2.7565
0.0000 27.0999 0.9188
1.7358 9.0048 0.9188
1.7358 27.1855 2.7565
```

Peak list (12 most intense, 2θ = 15–90°, by angle)
two_theta, d_spacing, I_rel
24.60, 3.619, 79
26.17, 3.405, 32
26.72, 3.336, 22
29.62, 3.016, 30
34.71, 2.584, 24
36.37, 2.470, 85
37.74, 2.384, 44
39.74, 2.268, 100
42.28, 2.138, 37
48.70, 1.870, 21
56.56, 1.627, 25
60.94, 1.520, 24

***

[7]
KRu2: theoretical powder diffractogram (Cu Kα X-rays), based on a DFT-relaxed cell (PBE, Alexandria).
Neutral-atom scattering factors, no anomalous dispersion.

Crystal structure
```
KRu2
1.0
2.7894 0.0000 0.0000
0.0000 4.2791 0.0000
-0.8254 0.0000 12.2722
K Ru
2 4
Cartesian
0.0000 0.0000 0.0000
0.3653 2.1396 8.0516
0.1664 0.0000 3.2347
0.1542 2.1396 4.8172
1.5517 2.1396 2.5775
1.5592 0.0000 5.4740
```

Peak list (12 most intense, 2θ = 15–90°, by angle)
two_theta, d_spacing, I_rel
29.11, 3.068, 40
36.02, 2.493, 45
36.61, 2.454, 36
38.88, 2.316, 32
39.73, 2.269, 43
40.59, 2.223, 60
42.23, 2.140, 100
42.42, 2.131, 41
42.91, 2.108, 42
43.56, 2.078, 40
45.85, 1.979, 58
47.62, 1.910, 41

***

[8]
K3Ru: theoretical powder diffractogram (Cu Kα X-rays), based on a DFT-relaxed cell (PBE, Alexandria).
Neutral-atom scattering factors, no anomalous dispersion.

Crystal structure
```
K3Ru
1.0
9.4777 0.0000 0.0000
0.0000 10.7143 0.0000
0.0000 0.0000 6.9565
K Ru
12 4
Cartesian
0.2957 2.6786 0.7235
1.6122 0.6738 4.3431
1.6122 4.6833 4.3431
3.1267 6.0310 0.8648
3.1267 10.0405 0.8648
4.4432 8.0357 4.2017
5.0346 2.6786 2.7548
6.3511 0.6738 6.0916
6.3511 4.6833 6.0916
7.8655 6.0310 2.6134
7.8655 10.0405 2.6134
9.1820 8.0357 6.2330
1.2315 8.0357 3.1091
3.5073 2.6786 6.5873
5.9704 8.0357 0.3692
8.2462 2.6786 3.8474
```

Peak list (12 most intense, 2θ = 15–90°, by angle)
two_theta, d_spacing, I_rel
15.80, 5.608, 59
16.55, 5.357, 50
17.85, 4.969, 74
20.49, 4.334, 29
28.23, 3.162, 44
28.58, 3.123, 68
29.66, 3.012, 100
31.09, 2.876, 73
31.36, 2.852, 63
32.10, 2.788, 41
32.22, 2.778, 34
46.80, 1.941, 31

***

[9]
K5Ru3: theoretical powder diffractogram (Cu Kα X-rays), based on a DFT-relaxed cell (PBE, Alexandria).
Neutral-atom scattering factors, no anomalous dispersion.

Crystal structure
```
K5Ru3
1.0
12.6968 0.0000 0.0000
0.0000 13.8713 0.0000
0.0000 0.0000 3.5322
K Ru
10 6
Cartesian
0.0000 0.0000 0.0000
2.7397 6.9356 1.7661
3.1742 3.4678 0.0000
3.1742 10.4035 0.0000
3.6087 0.0000 1.7661
6.3484 6.9356 0.0000
9.0881 0.0000 1.7661
9.5226 3.4678 0.0000
9.5226 10.4035 0.0000
9.9570 6.9356 1.7661
0.0000 5.2834 1.7661
0.0000 6.9356 0.0000
0.0000 8.5879 1.7661
6.3484 0.0000 0.0000
6.3484 1.6522 1.7661
6.3484 12.2191 1.7661
```

Peak list (12 most intense, 2θ = 15–90°, by angle)
two_theta, d_spacing, I_rel
18.95, 4.683, 63
21.96, 4.048, 41
28.11, 3.174, 100
29.35, 3.043, 35
31.73, 2.820, 99
32.67, 2.741, 34
35.95, 2.498, 35
36.30, 2.475, 51
38.48, 2.339, 43
39.07, 2.306, 79
46.53, 1.952, 57
49.24, 1.850, 39

***

[10]
K2Ru: theoretical powder diffractogram (Cu Kα X-rays), based on a DFT-relaxed cell (PBE, Alexandria).
Neutral-atom scattering factors, no anomalous dispersion.

Crystal structure
```
K2Ru
1.0
6.1090 0.0000 0.0000
0.0000 6.1090 0.0000
0.0000 0.0000 2.8001
K Ru
2 1
Cartesian
0.0000 3.0545 0.0000
3.0545 0.0000 0.0000
0.0000 0.0000 1.4001
```

Peak list (12 most intense, 2θ = 15–90°, by angle)
two_theta, d_spacing, I_rel
29.24, 3.054, 100
32.78, 2.732, 45
35.26, 2.545, 37
38.31, 2.350, 93
41.82, 2.160, 36
46.44, 1.955, 34
58.00, 1.590, 51
64.26, 1.450, 12
68.73, 1.366, 20
74.03, 1.281, 12
74.56, 1.273, 12
88.84, 1.101, 15

***

[11]
KTcRuS3: theoretical powder diffractogram (Cu Kα X-rays), based on a DFT-relaxed cell (PBE, Alexandria).
Neutral-atom scattering factors, no anomalous dispersion.

Crystal structure
```
KTcRuS3
1.0
7.8602 0.0000 0.0000
0.0000 3.7335 0.0000
-3.6904 0.0000 8.5077
K Tc Ru S
2 2 2 6
Cartesian
1.0129 0.9334 2.1669
3.1569 2.8001 6.3408
-0.7808 2.8001 7.1716
4.9506 0.9334 1.3361
-1.5845 0.9334 5.2332
5.7543 2.8001 3.2745
-2.2971 0.9334 7.3994
-0.2990 2.8001 4.8143
3.2951 2.8001 1.0935
0.8747 0.9334 7.4142
4.4688 0.9334 3.6935
6.4670 2.8001 1.1083
```

Peak list (12 most intense, 2θ = 15–90°, by angle)
two_theta, d_spacing, I_rel
25.24, 3.529, 84
30.68, 2.914, 61
33.10, 2.706, 100
34.58, 2.594, 90
37.78, 2.381, 81
38.46, 2.341, 52
39.10, 2.304, 68
44.85, 2.021, 38
46.85, 1.939, 81
48.78, 1.867, 58
50.55, 1.805, 50
53.54, 1.711, 45

***

[12]
KTiRuS3: theoretical powder diffractogram (Cu Kα X-rays), based on a DFT-relaxed cell (PBE, Alexandria).
Neutral-atom scattering factors, no anomalous dispersion.

Crystal structure
```
KTiRuS3
1.0
8.3056 0.0000 0.0000
0.0000 3.5836 0.0000
-3.6085 0.0000 8.6658
K Ti Ru S
2 2 2 6
Cartesian
0.9896 0.8959 2.0912
3.7076 2.6877 6.5746
-0.4292 2.6877 7.3204
5.1264 0.8959 1.3454
-1.4610 0.8959 5.2894
6.1582 2.6877 3.3764
-2.0930 0.8959 7.5457
-0.1579 2.6877 4.7830
3.3813 2.6877 1.1669
1.3159 0.8959 7.4989
4.8550 0.8959 3.8828
6.7902 2.6877 1.1201
```

Peak list (12 most intense, 2θ = 15–90°, by angle)
two_theta, d_spacing, I_rel
24.38, 3.651, 52
30.95, 2.889, 37
31.63, 2.828, 53
33.04, 2.711, 50
34.25, 2.618, 100
37.24, 2.414, 54
38.18, 2.357, 52
38.44, 2.342, 42
40.09, 2.249, 36
41.33, 2.184, 44
46.89, 1.937, 68
50.95, 1.792, 59